No. 1
# MgScS3
Calculated powder X-ray diffraction pattern, Cu Kα (weighted mean of Kα1 and Kα2). Input: a crystal structure in the Materials Project, relaxed with PBE.

Most intense lines, 2θ from 10° to 90°, by angle:
Position (°2θ)	intensity
15.0	86
21.3	43
25.7	31
27.1	92
29.9	31
30.4	32
34.0	48
34.7	41
43.4	30
46.1	100

Structural model:
```
10
Lattice="3.4631 -5.9112 0.0000 3.4631 5.9112 0.0000 -3.4030 0.0000 5.8832" Properties=species:S:1:pos:R:3 pbc="T T T"
Mg 3.4631 4.0386 0.0000
Mg 3.4631 -4.0386 0.0000
Sc 0.4835 0.0000 4.1712
Sc 3.0395 0.0000 1.7120
S -0.9133 1.8765 4.8545
S 0.5322 0.0000 1.6887
S -0.9133 -1.8765 4.8545
S 4.4364 1.8765 1.0287
S 2.9909 0.0000 4.1945
S 4.4364 -1.8765 1.0287
```

=====

No. 2
# KCuF3
Calculated powder X-ray diffraction pattern, Cu Kα (weighted mean of Kα1 and Kα2). Input: a crystal structure in the Materials Project, relaxed with PBE.

Most intense lines, 2θ from 10° to 90°, by angle:
Position (°2θ)	intensity
21.4	36
22.2	16
30.5	53
31.1	100
43.7	62
45.4	28
54.6	37
55.6	18
63.5	17
64.8	32

Structural model:
```
10
Lattice="-2.9318 2.9318 3.9994 2.9318 -2.9318 3.9994 2.9318 2.9318 -3.9994" Properties=species:S:1:pos:R:3 pbc="T T T"
K 0.0000 0.0000 1.9997
K 0.0000 0.0000 5.9992
Cu 2.9318 0.0000 0.0000
Cu 0.0000 2.9318 0.0000
F 4.3103 1.3786 0.0000
F 2.9318 0.0000 1.9997
F 1.3786 1.5532 0.0000
F 1.5532 1.3786 3.9994
F 0.0000 2.9318 1.9997
F -1.3786 1.5532 3.9994
```

=====

No. 3
# Na2Mg2As
Calculated powder X-ray diffraction pattern, Cu Kα (weighted mean of Kα1 and Kα2). Input: a crystal structure in the Materials Project, relaxed with PBE.

Most intense lines, 2θ from 10° to 90°, by angle:
Position (°2θ)	intensity
14.0	100
15.1	16
18.1	12
19.9	44
28.3	18
31.7	27
32.1	23
35.2	18
40.7	12
43.3	20

Structural model:
```
5
Lattice="6.3146 0.0000 0.0000 0.0000 6.3146 0.0000 0.0000 0.0000 15.5492" Properties=species:S:1:pos:R:3 pbc="T T T"
Na 0.0000 0.0000 2.8235
Na 0.0000 0.0000 12.7257
Mg 0.0000 0.0000 6.1506
Mg 0.0000 0.0000 9.3986
As 0.0000 0.0000 0.0000
```

=====

No. 4
# GdSi2
Calculated powder X-ray diffraction pattern, Cu Kα (weighted mean of Kα1 and Kα2). Input: a crystal structure in the Materials Project, relaxed with PBE.

Most intense lines, 2θ from 10° to 90°, by angle:
Position (°2θ)	intensity
22.9	42
24.8	26
28.9	53
33.8	100
38.5	43
44.9	30
49.9	20
54.3	18
60.5	23
75.6	19

Structural model:
```
12
Lattice="4.0414 0.0000 0.0000 0.0000 4.0414 0.0000 0.0000 0.0000 14.3453" Properties=species:S:1:pos:R:3 pbc="T T T"
Gd 0.0000 1.0104 5.3795
Gd 0.0000 3.0311 8.9658
Gd 2.0207 1.0104 1.7932
Gd 2.0207 3.0311 12.5521
Si 0.0000 1.0104 11.3633
Si 0.0000 1.0104 13.7409
Si 0.0000 3.0311 0.6044
Si 0.0000 3.0311 2.9820
Si 2.0207 1.0104 7.7770
Si 2.0207 1.0104 10.1546
Si 2.0207 3.0311 4.1907
Si 2.0207 3.0311 6.5683
```

=====

No. 5
# La4CdPt
Calculated powder X-ray diffraction pattern, Cu Kα (weighted mean of Kα1 and Kα2). Input: a crystal structure in the Materials Project, relaxed with PBE.

Most intense lines, 2θ from 10° to 90°, by angle:
Position (°2θ)	intensity
10.6	13
30.4	37
32.2	100
35.2	37
53.9	38
55.1	15
64.2	13
67.1	13
80.8	13
82.4	14

Structural model:
```
24
Lattice="0.0000 7.2131 7.2131 7.2131 0.0000 7.2131 7.2131 7.2131 0.0000" Properties=species:S:1:pos:R:3 pbc="T T T"
La 7.2131 7.2131 2.6964
La 7.2131 2.6964 7.2131
La 11.7299 7.2131 7.2131
La 5.7842 5.7842 5.7842
La 8.6421 8.6421 5.7842
La 8.6421 5.7842 8.6421
La 10.8197 10.8197 8.0733
La 10.8197 8.0733 10.8197
La 13.5661 10.8197 10.8197
La 5.7842 8.6421 8.6421
La 2.6964 7.2131 7.2131
La 7.2131 11.7299 7.2131
La 7.2131 7.2131 11.7299
La 8.0733 10.8197 10.8197
La 10.8197 13.5661 10.8197
La 10.8197 10.8197 13.5661
Cd 2.4327 2.4327 2.4327
Cd 4.7804 4.7804 2.4327
Cd 4.7804 2.4327 4.7804
Cd 2.4327 4.7804 4.7804
Pt 8.7676 5.6587 5.6587
Pt 5.6587 8.7676 5.6587
Pt 5.6587 5.6587 8.7676
Pt 8.7676 8.7676 8.7676
```